Simulated powder diffraction line list of TbEr5TmTh2 for λ = 1.5418 Å (Cu Kα), from a cell relaxed with PBE.

Crystal structure
a b c (Å): 9.828 9.828 9.828
angles (deg): 127.29 127.29 77.77
Atoms (fractional coordinates):
Tb1 0.250 0.250 0.000
Tb2 0.750 0.750 0.000
Er1 0.000 0.000 0.000
Er2 0.070 0.570 0.920
Er3 0.150 0.070 0.500
Er4 0.350 0.850 0.920
Er5 0.430 0.350 0.500
Er6 0.500 0.500 0.000
Er7 0.570 0.650 0.500
Er8 0.650 0.150 0.080
Er9 0.850 0.930 0.500
Er10 0.930 0.430 0.080
Tm1 0.250 0.750 0.500
Tm2 0.750 0.250 0.500
Th1 0.119 0.381 0.500
Th2 0.381 0.881 0.261
Th3 0.619 0.119 0.739
Th4 0.881 0.619 0.500

Main lines, in order of rising 2θ (15° ≤ 2θ ≤ 90°):
2theta	I/Imax
28.8	704
28.9	535
31.1	1000
37.6	261
43.1	273
52.7	236



Simulated powder diffraction line list of TbY6Er2Th3 for λ = 1.5418 Å (Cu Kα), from a cell relaxed with PBE.

Crystal structure
a b c (Å): 6.188 6.188 11.752
angles (deg): 95.05 95.05 119.98
Atoms (fractional coordinates):
Tb1 0.000 0.000 0.000
Y1 0.084 0.418 0.253
Y2 0.249 0.249 0.747
Y3 0.418 0.084 0.253
Y4 0.582 0.916 0.747
Y5 0.751 0.751 0.253
Y6 0.916 0.582 0.747
Er1 0.333 0.667 0.000
Er2 0.667 0.333 0.000
Th1 0.167 0.833 0.500
Th2 0.500 0.500 0.500
Th3 0.833 0.167 0.500

Main lines, in order of rising 2θ (15° ≤ 2θ ≤ 90°):
2theta	I/Imax
30.7	1000
30.9	326
35.6	670
51.1	241
51.4	236
61.0	283



Simulated powder diffraction line list of TbEr7Tl5 for λ = 1.5418 Å (Cu Kα), from a cell relaxed with PBE.

Crystal structure
a b c (Å): 8.287 8.287 8.287
angles (deg): 134.12 98.33 99.15
Atoms (fractional coordinates):
Tb1 0.000 0.000 0.000
Er1 0.230 0.535 0.694
Er2 0.342 0.342 0.000
Er3 0.361 0.020 0.342
Er4 0.658 0.658 0.000
Er5 0.678 0.020 0.658
Er6 0.795 0.295 0.500
Er7 0.841 0.535 0.306
Tl1 0.017 0.029 0.488
Tl2 0.017 0.530 0.988
Tl3 0.259 0.759 0.500
Tl4 0.541 0.029 0.012
Tl5 0.541 0.530 0.512

Main lines, in order of rising 2θ (15° ≤ 2θ ≤ 90°):
2theta	I/Imax
32.3	863
33.0	830
33.1	300
33.3	414
36.4	1000
37.2	521



Simulated powder diffraction line list of Tb3Er2Tl3 for λ = 1.5418 Å (Cu Kα), from a cell relaxed with PBE.

Crystal structure
a b c (Å): 3.765 5.375 22.571
angles (deg): 90.00 90.00 90.00
Atoms (fractional coordinates):
Tb1 0.000 0.000 0.000
Tb2 0.000 0.500 0.126
Tb3 0.000 0.500 0.874
Tb4 0.500 0.000 0.374
Tb5 0.500 0.000 0.626
Tb6 0.500 0.500 0.500
Er1 0.000 0.000 0.235
Er2 0.000 0.000 0.765
Er3 0.500 0.500 0.265
Er4 0.500 0.500 0.735
Tl1 0.000 0.000 0.500
Tl2 0.000 0.500 0.379
Tl3 0.000 0.500 0.621
Tl4 0.500 0.000 0.121
Tl5 0.500 0.000 0.879
Tl6 0.500 0.500 0.000

Main lines, in order of rising 2θ (15° ≤ 2θ ≤ 90°):
2theta	I/Imax
31.7	252
33.1	1000
33.3	254
46.7	175
57.4	161
59.4	196



Simulated powder diffraction line list of Tb3Er2Tl4 for λ = 1.5418 Å (Cu Kα), from a cell relaxed with PBE.

Crystal structure
a b c (Å): 8.723 8.723 6.681
angles (deg): 105.03 105.03 32.22
Atoms (fractional coordinates):
Tb1 0.000 0.000 0.000
Tb2 0.110 0.110 0.585
Tb3 0.890 0.890 0.415
Er1 0.329 0.329 0.935
Er2 0.671 0.671 0.065
Tl1 0.251 0.251 0.333
Tl2 0.489 0.489 0.716
Tl3 0.511 0.511 0.284
Tl4 0.749 0.749 0.667

Main lines, in order of rising 2θ (15° ≤ 2θ ≤ 90°):
2theta	I/Imax
30.6	1000
32.4	243
33.4	258
33.9	715
35.2	307
37.1	422



Simulated powder diffraction line list of Tb3Er4Tl2 for λ = 1.5418 Å (Cu Kα), from a cell relaxed with PBE.

Crystal structure
a b c (Å): 6.581 6.581 10.181
angles (deg): 122.28 122.28 48.00
Atoms (fractional coordinates):
Tb1 0.000 0.000 0.000
Tb2 0.355 0.355 0.321
Tb3 0.645 0.645 0.679
Er1 0.097 0.097 0.428
Er2 0.268 0.268 0.920
Er3 0.732 0.732 0.080
Er4 0.903 0.903 0.572
Tl1 0.411 0.411 0.744
Tl2 0.589 0.589 0.256

Main lines, in order of rising 2θ (15° ≤ 2θ ≤ 90°):
2theta	I/Imax
31.6	392
32.4	1000
32.7	868
33.5	508
46.7	287
59.2	181



Simulated powder diffraction line list of TbEr4Tl2 for λ = 1.5418 Å (Cu Kα), from a cell relaxed with PBE.

Crystal structure
a b c (Å): 6.817 6.817 10.616
angles (deg): 90.00 90.00 120.03
Atoms (fractional coordinates):
Tb1 0.000 0.000 0.000
Tb2 0.500 0.500 0.500
Er1 0.043 0.957 0.671
Er2 0.053 0.447 0.750
Er3 0.447 0.053 0.250
Er4 0.457 0.543 0.171
Er5 0.543 0.457 0.829
Er6 0.553 0.947 0.750
Er7 0.947 0.553 0.250
Er8 0.957 0.043 0.329
Tl1 0.236 0.764 0.485
Tl2 0.264 0.736 0.985
Tl3 0.736 0.264 0.015
Tl4 0.764 0.236 0.515

Main lines, in order of rising 2θ (15° ≤ 2θ ≤ 90°):
2theta	I/Imax
29.4	685
30.3	585
31.2	891
31.5	804
34.8	1000
36.6	428



Simulated powder diffraction line list of TbEr5Tl6 for λ = 1.5418 Å (Cu Kα), from a cell relaxed with PBE.

Crystal structure
a b c (Å): 9.258 9.258 5.342
angles (deg): 106.69 106.69 120.33
Atoms (fractional coordinates):
Tb1 0.000 0.000 0.000
Er1 0.166 0.834 0.500
Er2 0.333 0.667 0.000
Er3 0.500 0.500 0.500
Er4 0.667 0.333 0.000
Er5 0.834 0.166 0.500
Tl1 0.084 0.419 0.251
Tl2 0.253 0.253 0.753
Tl3 0.419 0.084 0.251
Tl4 0.581 0.916 0.749
Tl5 0.747 0.747 0.247
Tl6 0.916 0.581 0.749

Main lines, in order of rising 2θ (15° ≤ 2θ ≤ 90°):
2theta	I/Imax
33.5	1000
33.6	496
48.1	184
48.4	90
59.9	288
60.1	238



Simulated powder diffraction line list of Tb2Er7Tl2 for λ = 1.5418 Å (Cu Kα), from a cell relaxed with PBE.

Crystal structure
a b c (Å): 11.062 11.062 11.062
angles (deg): 161.10 55.23 128.63
Atoms (fractional coordinates):
Tb1 0.000 0.000 0.000
Tb2 0.672 0.172 0.500
Er1 0.005 0.638 0.367
Er2 0.271 0.638 0.633
Er3 0.347 0.347 0.000
Er4 0.349 0.008 0.341
Er5 0.667 0.008 0.659
Er6 0.686 0.819 0.867
Er7 0.952 0.819 0.133
Tl1 0.053 0.296 0.758
Tl2 0.538 0.296 0.242

Main lines, in order of rising 2θ (15° ≤ 2θ ≤ 90°):
2theta	I/Imax
31.2	978
32.1	1000
33.9	332
36.7	245
37.5	195
63.1	200



Simulated powder diffraction line list of TbEr7Tl4 for λ = 1.5418 Å (Cu Kα), from a cell relaxed with PBE.

Crystal structure
a b c (Å): 7.975 7.975 9.696
angles (deg): 119.11 119.11 42.11
Atoms (fractional coordinates):
Tb1 0.000 0.000 0.000
Er1 0.070 0.070 0.409
Er2 0.203 0.203 0.878
Er3 0.257 0.257 0.303
Er4 0.500 0.500 0.000
Er5 0.743 0.743 0.697
Er6 0.797 0.797 0.122
Er7 0.930 0.930 0.591
Tl1 0.315 0.315 0.663
Tl2 0.452 0.452 0.288
Tl3 0.548 0.548 0.712
Tl4 0.685 0.685 0.337

Main lines, in order of rising 2θ (15° ≤ 2θ ≤ 90°):
2theta	I/Imax
29.8	452
30.3	410
31.2	1000
32.1	300
34.8	834
43.7	324



Simulated powder diffraction line list of Tb8Er3Tl for λ = 1.5418 Å (Cu Kα), from a cell relaxed with PBE.

Crystal structure
a b c (Å): 8.306 8.306 8.306
angles (deg): 117.79 117.79 93.87
Atoms (fractional coordinates):
Tb1 0.130 0.130 0.745
Tb2 0.233 0.722 0.000
Tb3 0.278 0.278 0.511
Tb4 0.385 0.385 0.255
Tb5 0.615 0.870 0.000
Tb6 0.722 0.233 0.000
Tb7 0.767 0.767 0.489
Tb8 0.870 0.615 0.000
Er1 0.250 0.750 0.500
Er2 0.500 0.500 0.000
Er3 0.750 0.250 0.500
Tl1 0.000 0.000 0.000

Main lines, in order of rising 2θ (15° ≤ 2θ ≤ 90°):
2theta	I/Imax
24.5	536
29.4	731
31.6	596
36.7	1000
43.7	436
45.2	414



Simulated powder diffraction line list of Tb2Er5Tl5 for λ = 1.5418 Å (Cu Kα), from a cell relaxed with PBE.

Crystal structure
a b c (Å): 6.573 6.573 12.082
angles (deg): 108.13 108.13 44.78
Atoms (fractional coordinates):
Tb1 0.071 0.071 0.264
Tb2 0.929 0.929 0.736
Er1 0.349 0.349 0.495
Er2 0.354 0.354 0.212
Er3 0.500 0.500 0.000
Er4 0.646 0.646 0.788
Er5 0.651 0.651 0.505
Tl1 0.000 0.000 0.500
Tl2 0.153 0.153 0.971
Tl3 0.263 0.263 0.715
Tl4 0.737 0.737 0.285
Tl5 0.847 0.847 0.029

Main lines, in order of rising 2θ (15° ≤ 2θ ≤ 90°):
2theta	I/Imax
29.4	120
31.5	242
32.5	1000
35.9	260
48.4	148
62.3	160



Simulated powder diffraction line list of Tb12Er2Tl for λ = 1.5418 Å (Cu Kα), from a cell relaxed with PBE.

Crystal structure
a b c (Å): 6.664 6.664 23.966
angles (deg): 94.50 94.50 115.54
Atoms (fractional coordinates):
Tb1 0.005 0.005 0.398
Tb2 0.085 0.608 0.943
Tb3 0.102 0.102 0.927
Tb4 0.119 0.573 0.435
Tb5 0.141 0.710 0.694
Tb6 0.223 0.703 0.175
Tb7 0.290 0.859 0.306
Tb8 0.297 0.777 0.825
Tb9 0.392 0.915 0.057
Tb10 0.425 0.425 0.079
Tb11 0.427 0.881 0.565
Tb12 0.486 0.486 0.348
Tb13 0.514 0.514 0.652
Tb14 0.573 0.119 0.435
Tb15 0.575 0.575 0.921
Tb16 0.608 0.085 0.943
Tb17 0.703 0.223 0.175
Tb18 0.710 0.141 0.694
Tb19 0.777 0.297 0.825
Tb20 0.859 0.290 0.306
Tb21 0.881 0.427 0.565
Tb22 0.898 0.898 0.073
Tb23 0.915 0.392 0.057
Tb24 0.995 0.995 0.602
Er1 0.224 0.224 0.212
Er2 0.251 0.251 0.767
Er3 0.749 0.749 0.233
Er4 0.776 0.776 0.788
Tl1 0.299 0.299 0.517
Tl2 0.701 0.701 0.483

Main lines, in order of rising 2θ (15° ≤ 2θ ≤ 90°):
2theta	I/Imax
30.8	348
31.4	283
31.8	944
31.9	1000
34.2	300
56.6	233